1.
Diffraction record for Cs2KMoCl6. The PXRD pattern is calculated, not measured: it uses a structure optimized by DFT (PBE) and CuKα.
Neutral-atom scattering factors, no anomalous dispersion.

Main lines, by angle (2θ from 10° to 90°):
h k l	d [Å]	Rel. int.
1 1 1	6.347	17
2 2 0	3.887	100
2 2 2	3.174	39
4 0 0	2.749	66
4 2 2	2.244	42
4 4 0	1.943	43
6 2 0	1.738	24
4 4 4	1.587	14
6 4 2	1.469	25
8 4 0	1.229	16

a = 10.9941 Å, b = 10.9941 Å, c = 10.9941 Å
α = 90.00°, β = 90.00°, γ = 90.00°
Space group Fm-3m (No. 225)
One atom of each set of equivalent atoms:
1 Cs 0.2500 0.2500 0.2500 (multiplicity 8)
2 K 0.0000 0.0000 0.0000 (multiplicity 4)
3 Mo 0.0000 0.0000 0.5000 (multiplicity 4)
4 Cl 0.0000 0.0000 0.2757 (multiplicity 24)



2.
Diffraction record for Cs2KNdCl6. The PXRD pattern is calculated, not measured: it uses a structure optimized by DFT (PBE) and CuKα.
Neutral-atom scattering factors, no anomalous dispersion.

Main lines, by angle (2θ from 10° to 90°):
h k l	d [Å]	Rel. int.
1 1 1	6.659	21
2 2 0	4.078	100
2 2 2	3.330	25
4 0 0	2.884	65
4 2 2	2.354	46
4 4 0	2.039	45
6 2 0	1.824	23
4 4 4	1.665	15
6 4 2	1.541	26
8 4 0	1.290	19

a = 11.5345 Å, b = 11.5345 Å, c = 11.5345 Å
α = 90.00°, β = 90.00°, γ = 90.00°
Space group Fm-3m (No. 225)
One atom of each set of equivalent atoms:
1 Cs 0.2500 0.2500 0.2500 (multiplicity 8)
2 K 0.0000 0.0000 0.0000 (multiplicity 4)
3 Nd 0.0000 0.0000 0.5000 (multiplicity 4)
4 Cl 0.0000 0.0000 0.2630 (multiplicity 24)



3.
Diffraction record for CsK2SbCl6. The PXRD pattern is calculated, not measured: it uses a structure optimized by DFT (PBE) and CuKα.
Neutral-atom scattering factors, no anomalous dispersion.

Main lines, by angle (2θ from 10° to 90°):
h k l	d [Å]	Rel. int.
2 0 0	5.900	96
2 2 0	4.172	100
4 0 0	2.950	85
4 2 0	2.638	46
4 2 2	2.409	43
4 4 0	2.086	56
6 0 0	1.967	24
6 2 0	1.866	26
6 4 2	1.577	27
8 4 0	1.319	20

a = 11.7992 Å, b = 11.7992 Å, c = 11.7992 Å
α = 90.00°, β = 90.00°, γ = 90.00°
Space group Fm-3m (No. 225)
One atom of each set of equivalent atoms:
1 Cs 0.0000 0.0000 0.0000 (multiplicity 4)
2 K 0.2500 0.2500 0.2500 (multiplicity 8)
3 Sb 0.0000 0.0000 0.5000 (multiplicity 4)
4 Cl 0.0000 0.0000 0.2745 (multiplicity 24)



4.
Diffraction record for CsK2ScCl6. The PXRD pattern is calculated, not measured: it uses a structure optimized by DFT (PBE) and CuKα.
Neutral-atom scattering factors, no anomalous dispersion.

Main lines, by angle (2θ from 10° to 90°):
h k l	d [Å]	Rel. int.
2 0 0	5.733	83
2 2 0	4.054	92
3 1 1	3.457	30
4 0 0	2.866	100
3 3 1	2.630	35
4 2 0	2.564	31
4 2 2	2.340	33
4 4 0	2.027	61
6 2 0	1.813	27
6 4 2	1.532	25

a = 11.4651 Å, b = 11.4651 Å, c = 11.4651 Å
α = 90.00°, β = 90.00°, γ = 90.00°
Space group Fm-3m (No. 225)
One atom of each set of equivalent atoms:
1 Cs 0.0000 0.0000 0.0000 (multiplicity 4)
2 K 0.2500 0.2500 0.2500 (multiplicity 8)
3 Sc 0.0000 0.0000 0.5000 (multiplicity 4)
4 Cl 0.0000 0.0000 0.2822 (multiplicity 24)